[1]
Simulated X-ray diffraction stick pattern
Compound: Zr4PC
Radiation: λ = 1.5418 Å (Cu Kα)
Structure: a structure optimized by DFT (PBE)
No peak broadening, texture or thermal motion is included.

Structural model:
```
Zr4PC
1.0
5.9908 0.0000 0.0000
0.0000 6.0440 0.0000
-0.5467 0.0000 6.1095
Zr P C
8 2 2
Direct
0.1222 0.1567 0.1754
0.1222 0.3433 0.6754
0.3398 0.6359 0.1187
0.3398 0.8641 0.6187
0.6602 0.1359 0.3813
0.6602 0.3641 0.8813
0.8778 0.6567 0.3246
0.8778 0.8433 0.8246
0.5000 0.0000 0.0000
0.5000 0.5000 0.5000
0.0000 0.0000 0.5000
0.0000 0.5000 0.0000
```

The 6 most intense peaks (15 to 90 degrees two-theta), most intense first:
- d 2.709, 33.1°, I 100.0
- d 2.675, 33.5°, I 99.0
- d 2.626, 34.1°, I 80.1
- d 2.558, 35.1°, I 62.0
- d 2.526, 35.5°, I 54.5
- d 2.431, 37.0°, I 42.3

---

[2]
Simulated X-ray diffraction stick pattern
Compound: PaC2
Radiation: λ = 1.5418 Å (Cu Kα)
Structure: a structure optimized by DFT (PBE)
No peak broadening, texture or thermal motion is included.

Structural model:
```
PaC2
1.0
6.4588 0.0000 0.0000
0.0000 4.0786 0.0000
-1.5275 0.0000 6.2036
Pa C
4 8
Direct
0.0000 0.2002 0.2500
0.0000 0.7998 0.7500
0.5000 0.2998 0.7500
0.5000 0.7002 0.2500
0.1980 0.3797 0.9443
0.1980 0.6203 0.4443
0.3020 0.1203 0.0557
0.3020 0.8797 0.5557
0.6980 0.1203 0.4443
0.6980 0.8797 0.9443
0.8020 0.3797 0.5557
0.8020 0.6203 0.0557
```

The 6 most intense peaks (15 to 90 degrees two-theta), most intense first:
- d 3.174, 28.1°, I 100.0
- d 2.842, 31.5°, I 97.8
- d 3.136, 28.5°, I 52.7
- d 3.102, 28.8°, I 51.6
- d 2.528, 35.5°, I 42.3
- d 1.896, 48.0°, I 30.7

---

[3]
Simulated X-ray diffraction stick pattern
Compound: Pa6C5
Radiation: λ = 1.5418 Å (Cu Kα)
Structure: a structure optimized by DFT (PBE)
No peak broadening, texture or thermal motion is included.

Structural model:
```
Pa6C5
1.0
3.0729 -5.3242 0.0000
3.0729 5.3242 0.0000
-2.0591 0.0000 5.7959
Pa C
6 5
Direct
0.0823 0.4139 0.2488
0.2489 0.2489 0.7496
0.4139 0.0823 0.2488
0.5861 0.9177 0.7512
0.7511 0.7511 0.2504
0.9177 0.5861 0.7512
0.1742 0.8258 0.5000
0.3346 0.6654 0.0000
0.5000 0.5000 0.5000
0.6654 0.3346 0.0000
0.8258 0.1742 0.5000
```

The 6 most intense peaks (15 to 90 degrees two-theta), most intense first:
- d 2.898, 30.9°, I 100.0
- d 2.510, 35.8°, I 59.9
- d 1.775, 51.5°, I 43.0
- d 1.513, 61.3°, I 34.3
- d 1.449, 64.3°, I 14.8
- d 1.123, 86.7°, I 13.6

---

[4]
Simulated X-ray diffraction stick pattern
Compound: PuPaPbC
Radiation: λ = 1.5418 Å (Cu Kα)
Structure: a structure optimized by DFT (PBE)
No peak broadening, texture or thermal motion is included.

Structural model:
```
PuPaPbC
1.0
3.4472 0.0000 0.0000
-1.7236 2.9854 0.0000
0.0000 0.0000 25.8596
Pu Pa Pb C
3 3 3 3
Direct
0.0000 0.0000 0.0000
0.3333 0.6667 0.6667
0.6667 0.3333 0.3333
0.0000 0.0000 0.2216
0.3333 0.6667 0.8883
0.6667 0.3333 0.5549
0.0000 0.0000 0.7773
0.3333 0.6667 0.4440
0.6667 0.3333 0.1106
0.0000 0.0000 0.6101
0.3333 0.6667 0.2768
0.6667 0.3333 0.9434
```

The 6 most intense peaks (15 to 90 degrees two-theta), most intense first:
- d 2.710, 33.1°, I 100.0
- d 2.586, 34.7°, I 95.2
- d 2.873, 31.1°, I 54.3
- d 1.478, 62.9°, I 46.4
- d 1.724, 53.1°, I 40.0
- d 2.966, 30.1°, I 37.3